This entry pairs a crystal structure of LiFe4B4O12 with its calculated powder X-ray diffraction pattern. Radiation: Cu Kα (λ = 1.5418 Å). Structure: a GGA+U-relaxed structure.

Peak list (12 most intense, 2θ from 15° to 90°, low angle first)
2θ (°), intensity, (hkl)
19.35, 51, 1 1 -1
19.62, 93, 0 2 0
21.34, 100, 1 1 -2
21.52, 59, 0 2 1
26.15, 78, 1 1 1
26.36, 58, 1 1 -3
34.17, 68, 1 3 -1
35.58, 89, 0 0 4
40.26, 40, 2 2 -1
40.90, 40, 0 4 1
49.47, 45, 1 1 -6
60.56, 38, 3 3 -3

Atomic structure:
```
data_LiFe4B4O12
_chemical_formula_sum 'Li2 Fe8 B8 O24'
_space_group_name_H-M_alt 'P 1 c 1'
_space_group_IT_number 7
_cell_length_a 5.3200
_cell_length_b 9.0498
_cell_length_c 11.3660
_cell_angle_alpha 90.00
_cell_angle_beta 117.38
_cell_angle_gamma 90.00
loop_
_space_group_symop_operation_xyz
'x,y,z'
'x,-y,z+1/2'
loop_
_atom_site_label
_atom_site_fract_x
_atom_site_fract_y
_atom_site_fract_z
Li1 0.0000 0.2459 0.0000
Fe1 0.0392 0.0933 0.5245
Fe2 0.4661 0.0854 0.2755
Fe3 0.5380 0.4177 0.0288
Fe4 0.9734 0.4205 0.7764
B1 0.0418 0.4199 0.5272
B2 0.4594 0.4178 0.2742
B3 0.5508 0.0770 0.0237
B4 0.9719 0.0793 0.7813
O1 0.1064 0.4502 0.9794
O2 0.1441 0.0532 0.7199
O3 0.1494 0.2859 0.5183
O4 0.3410 0.0611 0.0684
O5 0.3445 0.2792 0.2602
O6 0.3659 0.4659 0.8228
O7 0.6274 0.0521 0.4769
O8 0.6641 0.4424 0.2337
O9 0.6705 0.2073 0.0251
O10 0.8621 0.4314 0.5839
O11 0.8695 0.0432 0.3221
O12 0.9137 0.2175 0.8066
```

=====

This entry pairs a crystal structure of Li7Co5O12 with its calculated powder X-ray diffraction pattern. Radiation: Cu Kα (λ = 1.5418 Å). Structure: a GGA+U-relaxed structure.

Peak list (12 most intense, 2θ from 15° to 90°, low angle first)
2θ (°), intensity, (hkl)
18.42, 100, 0 0 2
36.36, 28, 3 1 -1
36.94, 12, 6 0 0
38.23, 7, 3 1 1
43.74, 57, 3 1 -3
44.88, 25, 6 0 2
48.45, 8, 3 1 3
57.51, 9, 3 1 -5
62.85, 8, 6 0 -6
63.98, 14, 3 1 5
64.30, 8, 0 2 0
64.94, 14, 9 1 -1

Atomic structure:
```
data_Li7Co5O12
_chemical_formula_sum 'Li14 Co10 O24'
_space_group_name_H-M_alt 'C 1 2/m 1'
_space_group_IT_number 12
_cell_length_a 14.8850
_cell_length_b 2.8973
_cell_length_c 9.8191
_cell_angle_alpha 90.00
_cell_angle_beta 101.21
_cell_angle_gamma 90.00
loop_
_space_group_symop_operation_xyz
'x,y,z'
'-x,-y,-z'
'-x,y,-z'
'x,-y,z'
'x+1/2,y+1/2,z'
'-x+1/2,-y+1/2,-z'
'-x+1/2,y+1/2,-z'
'x+1/2,-y+1/2,z'
loop_
_atom_site_label
_atom_site_fract_x
_atom_site_fract_y
_atom_site_fract_z
Li1 0.0000 0.0000 0.0000
Li2 0.0790 0.5000 0.2396
Li3 0.0823 0.0000 0.7530
Li4 0.2499 0.0000 0.2497
Co1 0.0000 0.5000 0.5000
Co2 0.1631 0.5000 0.9959
Co3 0.1659 0.0000 0.4977
O1 0.0442 0.0000 0.3810
O2 0.0534 0.5000 0.8834
O3 0.1202 0.5000 0.6123
O4 0.1335 0.0000 0.1069
O5 0.2094 0.0000 0.8949
O6 0.2129 0.5000 0.3803
```